Diffraction record for RbSnPt2Pb. The X-ray diffraction stick pattern is simulated, not measured: it uses a DFT-relaxed cell (GGA-PBE, Alexandria) and Cu Kα (λ = 1.5418 Å).
Kinematic intensities with the Lorentz-polarization factor, no thermal factor.

Crystal structure
```
data_RbSnPt2Pb
_cell_length_a 7.2198
_cell_length_b 4.5583
_cell_length_c 9.7679
_cell_angle_alpha 90.00
_cell_angle_beta 101.85
_cell_angle_gamma 90.00
_space_group_name_H-M_alt 'P 1 21/m 1'
_space_group_IT_number 11
loop_
_space_group_symop_operation_xyz
'x,y,z'
'-x,-y,-z'
'-x,y+1/2,-z'
'x,-y+1/2,z'
loop_
_atom_site_label
_atom_site_type_symbol
_atom_site_fract_x
_atom_site_fract_y
_atom_site_fract_z
_atom_site_occupancy
Rb1 Rb 0.0590 0.2500 0.2834 1
Sn1 Sn 0.3463 0.7500 0.5462 1
Pt1 Pt 0.4726 0.2500 0.6728 1
Pt2 Pt 0.4959 0.7500 0.8396 1
Pb1 Pb 0.2984 0.7500 0.0508 1
```

Peak list (8 most intense, 5° ≤ 2θ ≤ 70°, sorted by position)
hkl 1 0 0, 12.53 deg, intensity 100; hkl 1 1 0, 23.22 deg, intensity 15; hkl 2 0 -2, 28.16 deg, intensity 32; hkl 1 1 2, 31.52 deg, intensity 42; hkl 0 2 0, 39.54 deg, intensity 22; hkl 2 1 2, 39.95 deg, intensity 23; hkl 1 1 -4, 42.29 deg, intensity 20; hkl 0 1 4, 42.72 deg, intensity 19

Diffraction record for Ti2Cr4Si5. The X-ray diffraction stick pattern is simulated, not measured: it uses a DFT-relaxed cell (GGA-PBE, Alexandria) and Cu Kα (λ = 1.5418 Å).
Kinematic intensities with the Lorentz-polarization factor, no thermal factor.

Crystal structure
```
data_Ti2Cr4Si5
_cell_length_a 7.4264
_cell_length_b 15.7682
_cell_length_c 4.7853
_cell_angle_alpha 90.00
_cell_angle_beta 90.00
_cell_angle_gamma 90.00
_space_group_name_H-M_alt 'I b a m'
_space_group_IT_number 72
_space_group_name_Hall '-I 2 2c'
loop_
_atom_site_label
_atom_site_type_symbol
_atom_site_fract_x
_atom_site_fract_y
_atom_site_fract_z
_atom_site_occupancy
Ti1 Ti 0.1153 0.1418 0.0000 1
Cr1 Cr 0.0000 0.3079 0.2500 1
Cr2 Cr 0.2482 0.4362 0.0000 1
Si1 Si 0.0000 0.0000 0.2500 1
Si2 Si 0.0823 0.4358 0.5000 1
Si3 Si 0.2070 0.2124 0.5000 1
```

Peak list (8 most intense, 5° ≤ 2θ ≤ 70°, sorted by position)
hkl 3 3 0, 40.27 deg, intensity 53; hkl 1 6 1, 41.02 deg, intensity 63; hkl 1 7 0, 41.91 deg, intensity 43; hkl 2 6 0, 42.09 deg, intensity 78; hkl 3 2 1, 42.69 deg, intensity 100; hkl 1 3 2, 43.30 deg, intensity 98; hkl 2 0 2, 45.08 deg, intensity 59; hkl 0 6 2, 51.65 deg, intensity 30

Diffraction record for Ga4I5. The X-ray diffraction stick pattern is simulated, not measured: it uses a DFT-relaxed cell (GGA-PBE, Alexandria) and Cu Kα (λ = 1.5418 Å).
Kinematic intensities with the Lorentz-polarization factor, no thermal factor.

Crystal structure
```
data_Ga4I5
_cell_length_a 4.0770
_cell_length_b 8.0240
_cell_length_c 10.9583
_cell_angle_alpha 110.47
_cell_angle_beta 90.09
_cell_angle_gamma 104.70
_space_group_name_H-M_alt 'P -1'
_space_group_IT_number 2
loop_
_space_group_symop_operation_xyz
'x,y,z'
'-x,-y,-z'
loop_
_atom_site_label
_atom_site_type_symbol
_atom_site_fract_x
_atom_site_fract_y
_atom_site_fract_z
_atom_site_occupancy
Ga1 Ga 0.0079 0.0147 0.1268 1
Ga2 Ga 0.3395 0.6795 0.4039 1
I1 I 0.0000 0.0000 0.5000 1
I2 I 0.3460 0.6919 0.7200 1
I3 I 0.3723 0.7443 0.1280 1
```

Peak list (8 most intense, 5° ≤ 2θ ≤ 70°, sorted by position)
hkl 0 1 -3, 24.53 deg, intensity 70; hkl 0 1 2, 24.68 deg, intensity 22; hkl 1 0 -2, 27.27 deg, intensity 23; hkl 1 1 0, 28.67 deg, intensity 100; hkl 1 0 3, 36.60 deg, intensity 28; hkl 1 -3 3, 39.52 deg, intensity 40; hkl 2 -1 0, 44.44 deg, intensity 18; hkl 2 -2 3, 51.42 deg, intensity 21

Diffraction record for Sc8HgIr2. The X-ray diffraction stick pattern is simulated, not measured: it uses a DFT-relaxed cell (GGA-PBE, Alexandria) and Cu Kα (λ = 1.5418 Å).
Kinematic intensities with the Lorentz-polarization factor, no thermal factor.

Crystal structure
```
data_Sc8HgIr2
_cell_length_a 4.8399
_cell_length_b 14.7020
_cell_length_c 6.5487
_cell_angle_alpha 90.00
_cell_angle_beta 90.00
_cell_angle_gamma 90.00
_space_group_name_H-M_alt 'I m m 2'
_space_group_IT_number 44
loop_
_space_group_symop_operation_xyz
'x,y,z'
'-x,-y,z'
'-x,y,z'
'x,-y,z'
'x+1/2,y+1/2,z+1/2'
'-x+1/2,-y+1/2,z+1/2'
'-x+1/2,y+1/2,z+1/2'
'x+1/2,-y+1/2,z+1/2'
loop_
_atom_site_label
_atom_site_type_symbol
_atom_site_fract_x
_atom_site_fract_y
_atom_site_fract_z
_atom_site_occupancy
Sc1 Sc 0.0000 0.0000 0.0000 1
Sc2 Sc 0.0000 0.1135 0.4346 1
Sc3 Sc 0.0000 0.2908 0.1257 1
Sc4 Sc 0.0000 0.3324 0.5848 1
Sc5 Sc 0.0000 0.5000 0.2167 1
Hg1 Hg 0.0000 0.5000 0.7934 1
Ir1 Ir 0.0000 0.1700 0.8197 1
```

Peak list (8 most intense, 5° ≤ 2θ ≤ 70°, sorted by position)
hkl 0 3 1, 22.66 deg, intensity 81; hkl 1 0 1, 22.85 deg, intensity 70; hkl 1 3 0, 25.87 deg, intensity 53; hkl 0 6 0, 36.69 deg, intensity 28; hkl 2 0 0, 37.15 deg, intensity 41; hkl 1 3 2, 37.92 deg, intensity 100; hkl 1 6 1, 43.65 deg, intensity 43; hkl 2 3 1, 43.96 deg, intensity 30

Diffraction record for Cs3Na2Hg4Au2. The X-ray diffraction stick pattern is simulated, not measured: it uses a DFT-relaxed cell (GGA-PBE, Alexandria) and Cu Kα (λ = 1.5418 Å).
Kinematic intensities with the Lorentz-polarization factor, no thermal factor.

Crystal structure
```
data_Cs3Na2Hg4Au2
_cell_length_a 5.0552
_cell_length_b 5.0552
_cell_length_c 19.6832
_cell_angle_alpha 90.00
_cell_angle_beta 90.00
_cell_angle_gamma 120.00
_space_group_name_H-M_alt 'P -3 m 1'
_space_group_IT_number 164
_space_group_name_Hall '-P 3 2"'
loop_
_atom_site_label
_atom_site_type_symbol
_atom_site_fract_x
_atom_site_fract_y
_atom_site_fract_z
_atom_site_occupancy
Cs1 Cs 0.0000 0.0000 0.0000 1
Cs2 Cs 0.0000 0.0000 0.2564 1
Na1 Na 0.3333 0.6667 0.5536 1
Hg1 Hg 0.3333 0.6667 0.3848 1
Hg2 Hg 0.3333 0.6667 0.8708 1
Au1 Au 0.3333 0.6667 0.1289 1
```

Peak list (8 most intense, 5° ≤ 2θ ≤ 70°, sorted by position)
hkl 0 0 4, 18.03 deg, intensity 27; hkl 0 1 3, 24.44 deg, intensity 27; hkl 1 0 4, 27.26 deg, intensity 100; hkl 1 1 0, 35.52 deg, intensity 71; hkl 1 1 4, 40.11 deg, intensity 24; hkl 0 2 4, 45.34 deg, intensity 26; hkl 1 1 8, 51.86 deg, intensity 39; hkl 2 1 4, 58.88 deg, intensity 23

Diffraction record for TmPu5Rh6. The X-ray diffraction stick pattern is simulated, not measured: it uses a DFT-relaxed cell (GGA-PBE, Alexandria) and Cu Kα (λ = 1.5418 Å).
Kinematic intensities with the Lorentz-polarization factor, no thermal factor.

Crystal structure
```
data_TmPu5Rh6
_cell_length_a 4.8310
_cell_length_b 14.4498
_cell_length_c 6.8745
_cell_angle_alpha 90.00
_cell_angle_beta 90.00
_cell_angle_gamma 90.00
_space_group_name_H-M_alt 'C m m m'
_space_group_IT_number 65
_space_group_name_Hall '-C 2 2'
loop_
_atom_site_label
_atom_site_type_symbol
_atom_site_fract_x
_atom_site_fract_y
_atom_site_fract_z
_atom_site_occupancy
Tm1 Tm 0.0000 0.0000 0.0000 1
Pu1 Pu 0.0000 0.0000 0.5000 1
Pu2 Pu 0.0000 0.3329 0.5000 1
Pu3 Pu 0.0000 0.3336 0.0000 1
Rh1 Rh 0.0000 0.1641 0.2460 1
Rh2 Rh 0.0000 0.5000 0.2458 1
```

Peak list (8 most intense, 5° ≤ 2θ ≤ 70°, sorted by position)
hkl 1 3 0, 26.13 deg, intensity 12; hkl 2 0 0, 37.15 deg, intensity 100; hkl 0 6 0, 37.34 deg, intensity 20; hkl 0 0 4, 53.30 deg, intensity 7; hkl 2 6 0, 53.75 deg, intensity 14; hkl 2 0 4, 66.84 deg, intensity 15; hkl 3 3 2, 67.06 deg, intensity 14; hkl 1 9 2, 67.21 deg, intensity 14